Simulated X-ray powder pattern
Compound: DyY2Er2S7
Radiation: Cu Kα (λ = 1.5418 Å)
Structure: a DFT-relaxed cell (GGA-PBE, OQMD)

Cell and atoms:
Unit cell a=6.6999 b=6.6999 c=11.5607 alpha=104.00 beta=104.00 gamma=32.87
Sites, in units of the cell vectors:
Dy 0.0000 0.0000 0.0000
Y 0.1121 0.1121 0.4207
Y 0.8879 0.8879 0.5793
Er 0.2999 0.2999 0.1864
Er 0.7001 0.7001 0.8136
S 0.0436 0.0436 0.7856
S 0.2583 0.2583 0.6494
S 0.3396 0.3396 0.9485
S 0.5000 0.5000 0.5000
S 0.6604 0.6604 0.0515
S 0.7417 0.7417 0.3506
S 0.9564 0.9564 0.2144

Largest 10 diffraction maxima, most intense first, 2θ from 10° to 90°:
| 2θ/deg | I (rel.) |
| --- | --- |
| 23.93 | 1000 |
| 24.55 | 981 |
| 34.34 | 598 |
| 31.61 | 487 |
| 33.28 | 459 |
| 31.99 | 444 |
| 47.54 | 435 |
| 42.24 | 421 |
| 27.78 | 387 |
| 28.33 | 364 |

Simulated X-ray powder pattern
Compound: HfZr2Ni2As4Pd2
Radiation: Cu Kα (λ = 1.5418 Å)
Structure: a DFT-relaxed cell (GGA-PBE, OQMD)

Cell and atoms:
Unit cell a=6.5656 b=3.8706 c=7.5406 alpha=90.00 beta=90.47 gamma=90.00
Sites, in units of the cell vectors:
Hf 0.0000 0.0000 0.0000
Zr 0.4865 0.0000 0.1327
Zr 0.5550 0.5000 0.5068
Ni 0.1812 0.5000 0.2559
Ni 0.3970 0.0000 0.7566
As 0.2677 0.5000 0.9239
As 0.2699 0.0000 0.4481
As 0.7885 0.5000 0.1919
As 0.7992 0.0000 0.6964
Pd 0.6588 0.5000 0.8761
Pd 0.8925 0.0000 0.3810

Largest 10 diffraction maxima, most intense first, 2θ from 10° to 90°:
| 2θ/deg | I (rel.) |
| --- | --- |
| 35.87 | 1000 |
| 42.91 | 747 |
| 37.79 | 584 |
| 46.95 | 497 |
| 37.94 | 469 |
| 36.05 | 346 |
| 11.74 | 326 |
| 45.27 | 279 |
| 26.74 | 262 |
| 48.26 | 190 |